TlCr2AsO8: theoretical X-ray diffraction stick pattern (Cu Ka), based on a PBE+U-relaxed structure.
Peak positions follow from Bragg's law for the DFT cell and can differ from measured ones.

The 8 most intense peaks (15° ≤ 2θ ≤ 90°), most intense first:
two_theta, d/Å, I/Imax
21.98, 4.044, 1000
28.30, 3.153, 760
18.60, 4.770, 520
19.88, 4.467, 497
34.04, 2.634, 461
29.48, 3.029, 454
38.91, 2.315, 318
31.72, 2.821, 295

Crystal structure
Unit cell a=5.294 b=5.294 c=8.133 alpha=93.69 beta=93.69 gamma=64.40
Fractional positions:
Tl: 0.000 0.000 0.000
Cr: 0.372 0.372 0.705
Cr: 0.628 0.628 0.295
As: 0.000 0.000 0.500
O: 0.227 0.227 0.560
O: 0.230 0.724 0.684
O: 0.276 0.770 0.316
O: 0.313 0.313 0.889
O: 0.687 0.687 0.111
O: 0.724 0.230 0.684
O: 0.770 0.276 0.316
O: 0.773 0.773 0.440